# 1
Diffraction record for Ni8Ge2B3. The X-ray diffraction stick pattern is calculated, not measured: it uses a cell relaxed with GGA-PBE and Cu Ka.

Largest 10 diffraction maxima, sorted by position, 10 to 90 degrees two-theta:
two_theta, I (rel.), hkl
38.43, 18, 0 4 2
38.73, 55, 1 3 1
42.14, 81, 1 4 1
42.82, 100, 1 0 2
43.62, 33, 1 5 0
45.76, 40, 0 7 1
46.86, 41, 1 3 2
48.59, 21, 0 3 3
51.48, 24, 0 4 3
63.43, 29, 2 0 0

Crystal structure
```
data_Ni8Ge2B3
_cell_length_a 2.9330
_cell_length_b 14.6796
_cell_length_c 6.0845
_cell_angle_alpha 90.00
_cell_angle_beta 90.00
_cell_angle_gamma 90.00
_symmetry_space_group_name_H-M 'P m m n'
_symmetry_Int_Tables_number 59
loop_
_symmetry_equiv_pos_as_xyz
'x,y,z'
'-x,-y,-z'
'-x+1/2,-y+1/2,z'
'x+1/2,y+1/2,-z'
'x+1/2,-y,-z'
'-x+1/2,y,z'
'-x,y+1/2,-z'
'x,-y+1/2,z'
loop_
_atom_site_label
_atom_site_type_symbol
_atom_site_fract_x
_atom_site_fract_y
_atom_site_fract_z
Ni1 Ni 0.2500 0.0236 0.2002
Ni2 Ni 0.2500 0.1046 0.6335
Ni3 Ni 0.2500 0.2500 0.0757
Ni4 Ni 0.2500 0.6633 0.6591
Ni5 Ni 0.2500 0.7500 0.2974
Ge1 Ge 0.2500 0.6255 0.0375
B1 B 0.2500 0.2500 0.4571
B2 B 0.2500 0.5324 0.5394
```

# 2
Diffraction record for CaAl2Si3H4O12. The X-ray diffraction stick pattern is calculated, not measured: it uses a cell relaxed with GGA-PBE and Cu Ka.

Largest 10 diffraction maxima, sorted by position, 10 to 90 degrees two-theta:
two_theta, I (rel.), hkl
13.41, 52, 0 2 1
15.05, 100, 1 1 -1
19.33, 29, 0 4 0
20.07, 33, 1 1 -2
20.36, 65, 1 3 0
27.55, 25, 1 1 2
28.22, 28, 1 5 -1
30.36, 31, 2 2 -2
30.86, 62, 1 3 2
31.26, 48, 1 5 1

Crystal structure
```
data_CaAl2Si3H4O12
_cell_length_a 6.5797
_cell_length_b 18.3671
_cell_length_c 10.0422
_cell_angle_alpha 90.00
_cell_angle_beta 109.04
_cell_angle_gamma 90.00
_symmetry_space_group_name_H-M 'C 1 c 1'
_symmetry_Int_Tables_number 9
_symmetry_space_group_name_Hall 'C -2yc'
loop_
_atom_site_label
_atom_site_type_symbol
_atom_site_fract_x
_atom_site_fract_y
_atom_site_fract_z
Ca1 Ca 0.0000 0.1445 0.0000
Al1 Al 0.0652 0.3385 0.1288
Al2 Al 0.3857 0.0825 0.2669
Si1 Si 0.1939 0.2216 0.3656
Si2 Si 0.2679 0.0302 0.5241
Si3 Si 0.3548 0.3734 0.9320
H1 H 0.0014 0.1404 0.7163
H2 H 0.1111 0.4492 0.4851
H3 H 0.1972 0.4112 0.6355
H4 H 0.2463 0.1221 0.7869
O1 O 0.0165 0.0561 0.4569
O2 O 0.1207 0.1402 0.8088
O3 O 0.1514 0.3906 0.7917
O4 O 0.1782 0.3033 0.3001
O5 O 0.2176 0.1605 0.2516
O6 O 0.2260 0.4178 0.5445
O7 O 0.2649 0.0503 0.0938
O8 O 0.2839 0.3606 0.0710
O9 O 0.3783 0.0226 0.4009
O10 O 0.4016 0.0886 0.6430
O11 O 0.4088 0.2272 0.5076
O12 O 0.4805 0.2994 0.9073
```

# 3
Diffraction record for CsYMg6O8. The X-ray diffraction stick pattern is calculated, not measured: it uses a cell relaxed with GGA-PBE and Cu Ka.

Largest 10 diffraction maxima, sorted by position, 10 to 90 degrees two-theta:
two_theta, I (rel.), hkl
19.55, 34, 0 0 2
26.39, 29, 1 1 0
28.19, 52, 1 1 1
29.51, 23, 0 0 3
33.06, 64, 1 1 2
37.67, 100, 2 0 0
39.70, 37, 0 0 4
54.33, 31, 2 2 0
55.88, 49, 2 0 4
69.36, 24, 2 2 4

Crystal structure
```
data_CsYMg6O8
_cell_length_a 4.7759
_cell_length_b 4.7759
_cell_length_c 9.0819
_cell_angle_alpha 90.00
_cell_angle_beta 90.00
_cell_angle_gamma 90.00
_symmetry_space_group_name_H-M 'P 4/m m m'
_symmetry_Int_Tables_number 123
_symmetry_space_group_name_Hall '-P 4 2'
loop_
_atom_site_label
_atom_site_type_symbol
_atom_site_fract_x
_atom_site_fract_y
_atom_site_fract_z
Cs1 Cs 0.0000 0.0000 0.0000
Y1 Y 0.5000 0.5000 0.0000
Mg1 Mg 0.0000 0.0000 0.5000
Mg2 Mg 0.0000 0.5000 0.2752
Mg3 Mg 0.5000 0.5000 0.5000
O1 O 0.0000 0.0000 0.2906
O2 O 0.0000 0.5000 0.0000
O3 O 0.0000 0.5000 0.5000
O4 O 0.5000 0.5000 0.2605
```

# 4
Diffraction record for Li17Cl5O6. The X-ray diffraction stick pattern is calculated, not measured: it uses a cell relaxed with GGA-PBE and Cu Ka.

Largest 10 diffraction maxima, sorted by position, 10 to 90 degrees two-theta:
two_theta, I (rel.), hkl
10.58, 12, 0 0 2
15.91, 9, 0 0 3
32.13, 100, 0 0 6
33.02, 45, 1 1 3
40.00, 22, 0 1 6
44.72, 14, 2 0 -6
47.40, 30, 0 2 0
56.69, 10, 1 1 -9
58.43, 21, 1 1 9
67.19, 15, 0 0 12

Crystal structure
```
data_Li17Cl5O6
_cell_length_a 5.5792
_cell_length_b 3.8364
_cell_length_c 16.7433
_cell_angle_alpha 90.00
_cell_angle_beta 93.16
_cell_angle_gamma 90.00
_symmetry_space_group_name_H-M 'P 1 m 1'
_symmetry_Int_Tables_number 6
_symmetry_space_group_name_Hall 'P -2y'
loop_
_atom_site_label
_atom_site_type_symbol
_atom_site_fract_x
_atom_site_fract_y
_atom_site_fract_z
Li1 Li 0.0000 0.0000 0.0000
Li2 Li 0.0068 0.0000 0.1680
Li3 Li 0.0668 0.0000 0.3309
Li4 Li 0.1936 0.5000 0.7542
Li5 Li 0.2486 0.5000 0.0867
Li6 Li 0.2597 0.5000 0.4333
Li7 Li 0.4123 0.0000 0.5255
Li8 Li 0.4506 0.0000 0.8430
Li9 Li 0.4629 0.0000 0.6844
Li10 Li 0.4899 0.0000 0.0066
Li11 Li 0.5048 0.0000 0.1731
Li12 Li 0.5344 0.0000 0.3395
Li13 Li 0.7070 0.5000 0.5937
Li14 Li 0.7242 0.5000 0.9188
Li15 Li 0.7751 0.5000 0.2492
Li16 Li 0.9407 0.0000 0.8318
Li17 Li 0.9739 0.0000 0.6571
Cl1 Cl 0.1749 0.5000 0.5835
Cl2 Cl 0.2249 0.5000 0.9265
Cl3 Cl 0.2718 0.5000 0.2514
Cl4 Cl 0.6935 0.5000 0.7677
Cl5 Cl 0.7478 0.5000 0.0997
O1 O 0.1963 0.0000 0.7560
O2 O 0.2486 0.0000 0.0885
O3 O 0.3039 0.0000 0.4151
O4 O 0.6704 0.0000 0.6004
O5 O 0.7239 0.0000 0.9264
O6 O 0.7776 0.0000 0.2640
```

# 5
Diffraction record for Rb2LiTaF6. The X-ray diffraction stick pattern is calculated, not measured: it uses a cell relaxed with GGA-PBE and Cu Ka.

Largest 10 diffraction maxima, sorted by position, 10 to 90 degrees two-theta:
two_theta, I (rel.), hkl
18.02, 67, 1 1 1
29.64, 100, 2 2 0
34.91, 39, 3 1 1
42.41, 41, 4 0 0
46.43, 17, 3 3 1
52.60, 41, 4 2 2
56.06, 14, 5 1 1
61.54, 26, 4 4 0
69.77, 18, 6 2 0
85.18, 22, 6 4 2

Crystal structure
```
data_Rb2LiTaF6
_cell_length_a 8.5246
_cell_length_b 8.5246
_cell_length_c 8.5246
_cell_angle_alpha 90.00
_cell_angle_beta 90.00
_cell_angle_gamma 90.00
_symmetry_space_group_name_H-M 'F m -3 m'
_symmetry_Int_Tables_number 225
_symmetry_space_group_name_Hall '-F 4 2 3'
loop_
_atom_site_label
_atom_site_type_symbol
_atom_site_fract_x
_atom_site_fract_y
_atom_site_fract_z
Rb1 Rb 0.2500 0.2500 0.2500
Li1 Li 0.0000 0.0000 0.0000
Ta1 Ta 0.0000 0.0000 0.5000
F1 F 0.0000 0.0000 0.2527
```

# 6
Diffraction record for MgTlF3. The X-ray diffraction stick pattern is calculated, not measured: it uses a cell relaxed with GGA-PBE and Cu Ka.

Largest 10 diffraction maxima, sorted by position, 10 to 90 degrees two-theta:
two_theta, I (rel.), hkl
21.43, 65, 1 0 0
30.49, 100, 1 1 0
37.57, 49, 1 1 1
43.65, 36, 2 0 0
49.13, 32, 2 1 0
54.18, 42, 2 1 1
63.45, 22, 2 2 0
72.01, 18, 3 1 0
76.13, 17, 3 1 1
88.15, 23, 3 2 1

Crystal structure
```
data_MgTlF3
_cell_length_a 4.1469
_cell_length_b 4.1469
_cell_length_c 4.1469
_cell_angle_alpha 90.00
_cell_angle_beta 90.00
_cell_angle_gamma 90.00
_symmetry_space_group_name_H-M 'P m -3 m'
_symmetry_Int_Tables_number 221
_symmetry_space_group_name_Hall '-P 4 2 3'
loop_
_atom_site_label
_atom_site_type_symbol
_atom_site_fract_x
_atom_site_fract_y
_atom_site_fract_z
Mg1 Mg 0.0000 0.0000 0.0000
Tl1 Tl 0.5000 0.5000 0.5000
F1 F 0.0000 0.0000 0.5000
```

# 7
Diffraction record for ZrSO9. The X-ray diffraction stick pattern is calculated, not measured: it uses a cell relaxed with GGA-PBE and Cu Ka.

Largest 10 diffraction maxima, sorted by position, 10 to 90 degrees two-theta:
two_theta, I (rel.), hkl
14.30, 100, 1 1 0
19.67, 30, 0 2 1
20.92, 51, 1 3 0
23.10, 45, 0 3 1
23.45, 62, 1 3 -1
26.69, 25, 2 0 0
27.93, 25, 2 2 -1
30.89, 23, 1 0 -2
36.68, 24, 0 6 1
37.99, 23, 1 4 -2

Crystal structure
```
data_ZrSO9
_cell_length_a 7.1806
_cell_length_b 16.5039
_cell_length_c 5.7937
_cell_angle_alpha 90.00
_cell_angle_beta 111.51
_cell_angle_gamma 90.00
_symmetry_space_group_name_H-M 'P 1 21/c 1'
_symmetry_Int_Tables_number 14
_symmetry_space_group_name_Hall '-P 2ybc'
loop_
_atom_site_label
_atom_site_type_symbol
_atom_site_fract_x
_atom_site_fract_y
_atom_site_fract_z
Zr1 Zr 0.1956 0.1278 0.1181
S1 S 0.3034 0.0192 0.6665
O1 O 0.0163 0.2114 0.6686
O2 O 0.0878 0.6565 0.5037
O3 O 0.1924 0.2337 0.8138
O4 O 0.1972 0.0666 0.4242
O5 O 0.2020 0.0543 0.8369
O6 O 0.2495 0.5656 0.1215
O7 O 0.3470 0.7458 0.3828
O8 O 0.4795 0.1817 0.2739
O9 O 0.4860 0.5383 0.7384
```

# 8
Diffraction record for CrN2. The X-ray diffraction stick pattern is calculated, not measured: it uses a cell relaxed with GGA-PBE and Cu Ka.

Largest 10 diffraction maxima, sorted by position, 10 to 90 degrees two-theta:
two_theta, I (rel.), hkl
19.27, 100, 1 1 1
31.72, 42, 2 2 0
37.38, 11, 3 1 1
49.82, 18, 3 3 1
56.51, 14, 4 2 2
60.28, 4, 5 1 1
66.27, 8, 4 4 0
69.73, 11, 5 3 1
75.34, 5, 6 2 0
87.27, 6, 7 1 1

Crystal structure
Cell lengths 7.9781, 7.9781, 7.9781 Å; angles 90.00, 90.00, 90.00 degrees
Space group Fd-3m (No. 227, origin choice 2)
Symmetry-distinct sites (fractional):
Cr 0.1250 0.1250 0.1250 [8 per cell]
N 0.0000 0.0000 0.0000 [16 per cell]